(1)
Starting from a structure optimized by DFT (PBE), the X-ray powder pattern of Dy12Ho2Tm was calculated for Cu Kα.
Intensities are scaled so that the largest is 100.

Most intense lines, 10° ≤ 2θ ≤ 90°, low angle first:
2θ (°)  I/Imax
30.15  88
30.28  100
31.56  23
32.79  41
33.27  31
33.59  69
34.39  59
37.02  36
50.84  29
57.99  32
60.81  24
62.44  25

Structure:
Cell lengths 3.551, 5.336, 25.018 Å; angles 90.00, 94.06, 90.00 degrees
Fractional positions:
Dy (0.036, 0.000, 0.069)
Dy (0.106, 0.000, 0.205)
Dy (0.173, 0.000, 0.334)
Dy (0.216, 0.500, 0.426)
Dy (0.274, 0.000, 0.554)
Dy (0.429, 0.500, 0.863)
Dy (0.571, 0.500, 0.137)
Dy (0.726, 0.000, 0.446)
Dy (0.784, 0.500, 0.574)
Dy (0.827, 0.000, 0.666)
Dy (0.894, 0.000, 0.795)
Dy (0.964, 0.000, 0.931)
Ho (0.355, 0.500, 0.720)
Ho (0.645, 0.500, 0.280)
Tm (0.500, 0.500, 0.000)

(2)
Starting from a structure optimized by DFT (PBE), the X-ray powder pattern of PmPu2Tc9 was calculated for Cu Kα.
Intensities are scaled so that the largest is 100.

Most intense lines, 10° ≤ 2θ ≤ 90°, low angle first:
2θ (°)  I/Imax
29.87  21
30.59  42
32.75  33
34.08  75
39.19  60
39.65  100
40.05  33
40.19  67
42.33  18
43.33  20
59.72  19
71.76  38

Structure:
Cell lengths 5.262, 5.262, 9.600 Å; angles 107.45, 107.45, 60.04 degrees
Fractional positions:
Pm (0.000, 0.000, 0.000)
Pu (0.149, 0.149, 0.436)
Pu (0.851, 0.851, 0.564)
Tc (0.082, 0.588, 0.249)
Tc (0.331, 0.331, 0.007)
Tc (0.411, 0.411, 0.754)
Tc (0.412, 0.918, 0.751)
Tc (0.500, 0.500, 0.500)
Tc (0.588, 0.082, 0.249)
Tc (0.589, 0.589, 0.246)
Tc (0.669, 0.669, 0.993)
Tc (0.918, 0.412, 0.751)

(3)
Starting from a structure optimized by DFT (PBE), the X-ray powder pattern of MnPd2Br6 was calculated for Cu Kα.
Intensities are scaled so that the largest is 100.

Most intense lines, 10° ≤ 2θ ≤ 90°, low angle first:
2θ (°)  I/Imax
15.33  56
19.28  16
22.82  100
26.59  37
30.74  37
32.27  50
33.26  20
35.50  26
41.09  20
43.61  22
44.44  17
45.43  25

Structure:
Cell lengths 6.703, 6.575, 12.626 Å; angles 90.00, 106.34, 90.00 degrees
Fractional positions:
Mn (0.000, 0.000, 0.000)
Mn (0.000, 0.500, 0.500)
Pd (0.345, 0.111, 0.826)
Pd (0.345, 0.389, 0.326)
Pd (0.655, 0.611, 0.674)
Pd (0.655, 0.889, 0.174)
Br (0.088, 0.196, 0.394)
Br (0.088, 0.304, 0.894)
Br (0.264, 0.689, 0.424)
Br (0.264, 0.811, 0.924)
Br (0.356, 0.077, 0.211)
Br (0.356, 0.423, 0.711)
Br (0.644, 0.577, 0.289)
Br (0.644, 0.923, 0.789)
Br (0.736, 0.189, 0.076)
Br (0.736, 0.311, 0.576)
Br (0.912, 0.696, 0.106)
Br (0.912, 0.804, 0.606)

(4)
Starting from a structure optimized by DFT (PBE), the X-ray powder pattern of Ba8S3Br3N was calculated for Cu Kα.
Intensities are scaled so that the largest is 100.

Most intense lines, 10° ≤ 2θ ≤ 90°, low angle first:
2θ (°)  I/Imax
11.95  10
22.80  9
24.03  33
27.47  100
29.80  14
38.45  30
40.00  37
46.55  10
49.21  17
53.83  12
56.69  9
65.21  14

Structure:
Cell lengths 9.378, 9.378, 9.378 Å; angles 57.46, 57.46, 57.46 degrees
Fractional positions:
Ba (0.240, 0.240, 0.240)
Ba (0.262, 0.722, 0.722)
Ba (0.278, 0.278, 0.738)
Ba (0.278, 0.738, 0.278)
Ba (0.722, 0.262, 0.722)
Ba (0.722, 0.722, 0.262)
Ba (0.738, 0.278, 0.278)
Ba (0.760, 0.760, 0.760)
S (0.000, 0.000, 0.500)
S (0.000, 0.500, 0.000)
S (0.500, 0.000, 0.000)
Br (0.000, 0.500, 0.500)
Br (0.500, 0.000, 0.500)
Br (0.500, 0.500, 0.000)
N (0.500, 0.500, 0.500)

(5)
Starting from a structure optimized by DFT (PBE), the X-ray powder pattern of Pu4W was calculated for Cu Kα.
Intensities are scaled so that the largest is 100.

Most intense lines, 10° ≤ 2θ ≤ 90°, low angle first:
2θ (°)  I/Imax
16.61  15
23.57  13
28.97  89
33.58  100
37.68  8
41.44  6
48.22  74
57.24  42
60.04  26
70.58  12
78.03  17
80.47  35

Structure:
Cell lengths 5.338, 5.338, 5.338 Å; angles 90.00, 90.00, 90.00 degrees
Fractional positions:
Pu (0.000, 0.000, 0.000)
Pu (0.000, 0.500, 0.500)
Pu (0.500, 0.000, 0.500)
Pu (0.500, 0.500, 0.000)
W (0.500, 0.500, 0.500)

(6)
Starting from a structure optimized by DFT (PBE), the X-ray powder pattern of NdSm3Sc4 was calculated for Cu Kα.
Intensities are scaled so that the largest is 100.

Most intense lines, 10° ≤ 2θ ≤ 90°, low angle first:
2θ (°)  I/Imax
12.27  30
25.36  44
28.94  18
30.01  16
32.88  34
33.37  100
34.32  37
44.36  11
50.62  16
52.62  16
59.01  24
63.45  18

Structure:
Cell lengths 10.896, 7.214, 5.956 Å; angles 90.00, 90.00, 90.00 degrees
Fractional positions:
Nd (0.000, 0.139, 0.000)
Nd (0.500, 0.861, 0.500)
Sm (0.000, 0.860, 0.499)
Sm (0.250, 0.141, 0.360)
Sm (0.250, 0.859, 0.860)
Sm (0.500, 0.140, 0.999)
Sm (0.750, 0.141, 0.360)
Sm (0.750, 0.859, 0.860)
Sc (0.000, 0.393, 0.513)
Sc (0.000, 0.606, 0.012)
Sc (0.249, 0.607, 0.347)
Sc (0.251, 0.393, 0.847)
Sc (0.500, 0.394, 0.512)
Sc (0.500, 0.607, 0.013)
Sc (0.749, 0.393, 0.847)
Sc (0.751, 0.607, 0.347)

(7)
Starting from a structure optimized by DFT (PBE), the X-ray powder pattern of YHoAu5 was calculated for Cu Kα.
Intensities are scaled so that the largest is 100.

Most intense lines, 10° ≤ 2θ ≤ 90°, low angle first:
2θ (°)  I/Imax
33.96  100
35.59  53
35.86  80
36.42  83
37.80  24
38.57  19
40.15  33
41.46  37
41.93  54
58.38  21
59.78  20
72.80  19

Structure:
Cell lengths 5.290, 5.290, 11.257 Å; angles 100.73, 100.73, 100.80 degrees
Fractional positions:
Y (0.000, 0.500, 0.000)
Y (0.500, 0.000, 0.500)
Ho (0.185, 0.815, 0.750)
Ho (0.815, 0.185, 0.250)
Au (0.064, 0.281, 0.542)
Au (0.180, 0.820, 0.250)
Au (0.281, 0.064, 0.042)
Au (0.394, 0.403, 0.352)
Au (0.403, 0.394, 0.852)
Au (0.597, 0.606, 0.148)
Au (0.606, 0.597, 0.648)
Au (0.719, 0.936, 0.958)
Au (0.820, 0.180, 0.750)
Au (0.936, 0.719, 0.458)

(8)
Starting from a structure optimized by DFT (PBE), the X-ray powder pattern of VGaCo4 was calculated for Cu Kα.
Intensities are scaled so that the largest is 100.

Most intense lines, 10° ≤ 2θ ≤ 90°, low angle first:
2θ (°)  I/Imax
37.46  61
41.50  15
44.00  56
45.42  90
49.63  100
59.13  30
69.89  5
73.95  11
79.21  10
79.33  8
81.92  14
85.05  19

Structure:
Cell lengths 2.563, 4.116, 6.851 Å; angles 90.00, 90.08, 90.00 degrees
Fractional positions:
V (0.000, 0.000, 0.000)
Ga (0.502, 0.500, 0.500)
Co (0.001, 0.500, 0.817)
Co (0.003, 0.500, 0.183)
Co (0.500, 0.000, 0.693)
Co (0.504, 0.000, 0.307)

(9)
Starting from a structure optimized by DFT (PBE), the X-ray powder pattern of K3Sn4Pt was calculated for Cu Kα.
Intensities are scaled so that the largest is 100.

Most intense lines, 10° ≤ 2θ ≤ 90°, low angle first:
2θ (°)  I/Imax
13.33  100
15.21  99
24.35  23
30.85  37
31.59  18
33.32  54
33.74  56
37.07  21
39.32  21
41.35  21
44.07  24
44.73  23

Structure:
Cell lengths 6.480, 13.282, 6.483 Å; angles 90.00, 90.00, 90.00 degrees
Fractional positions:
K (0.250, 0.004, 0.182)
K (0.250, 0.496, 0.182)
K (0.250, 0.750, 0.522)
K (0.750, 0.250, 0.478)
K (0.750, 0.504, 0.818)
K (0.750, 0.996, 0.818)
Sn (0.004, 0.250, 0.987)
Sn (0.250, 0.131, 0.670)
Sn (0.250, 0.369, 0.670)
Sn (0.496, 0.250, 0.987)
Sn (0.504, 0.750, 0.013)
Sn (0.750, 0.631, 0.330)
Sn (0.750, 0.869, 0.330)
Sn (0.996, 0.750, 0.013)
Pt (0.250, 0.250, 0.330)
Pt (0.750, 0.750, 0.670)

(10)
Starting from a structure optimized by DFT (PBE), the X-ray powder pattern of NdSm2ScSe6 was calculated for Cu Kα.
Intensities are scaled so that the largest is 100.

Most intense lines, 10° ≤ 2θ ≤ 90°, low angle first:
2θ (°)  I/Imax
16.78  47
23.13  55
24.49  27
28.15  92
33.94  41
37.18  100
42.30  37
43.11  69
49.07  36
58.21  24
67.68  13
75.12  20

Structure:
Cell lengths 7.718, 7.718, 7.718 Å; angles 56.18, 56.18, 56.18 degrees
Fractional positions:
Nd (0.000, 0.000, 0.000)
Sm (0.296, 0.296, 0.296)
Sm (0.800, 0.800, 0.800)
Sc (0.494, 0.494, 0.494)
Se (0.113, 0.696, 0.400)
Se (0.226, 0.600, 0.871)
Se (0.400, 0.113, 0.696)
Se (0.600, 0.871, 0.226)
Se (0.696, 0.400, 0.113)
Se (0.871, 0.226, 0.600)

(11)
Starting from a structure optimized by DFT (PBE), the X-ray powder pattern of Nd2CoNi2 was calculated for Cu Kα.
Intensities are scaled so that the largest is 100.

Most intense lines, 10° ≤ 2θ ≤ 90°, low angle first:
2θ (°)  I/Imax
27.25  47
31.78  64
34.28  32
34.83  100
35.28  32
37.69  56
38.28  35
39.38  95
41.90  32
42.15  33
48.55  36
59.85  31

Structure:
Cell lengths 5.198, 5.198, 7.986 Å; angles 100.87, 100.87, 63.39 degrees
Fractional positions:
Nd (0.039, 0.270, 0.156)
Nd (0.270, 0.039, 0.656)
Nd (0.730, 0.961, 0.344)
Nd (0.961, 0.730, 0.844)
Co (0.369, 0.631, 0.250)
Co (0.631, 0.369, 0.750)
Ni (0.262, 0.499, 0.500)
Ni (0.499, 0.262, 0.000)
Ni (0.501, 0.738, 0.000)
Ni (0.738, 0.501, 0.500)

(12)
Starting from a structure optimized by DFT (PBE), the X-ray powder pattern of PuMgAu3 was calculated for Cu Kα.
Intensities are scaled so that the largest is 100.

Most intense lines, 10° ≤ 2θ ≤ 90°, low angle first:
2θ (°)  I/Imax
18.25  33
23.15  46
23.68  53
31.62  33
32.47  69
33.84  100
35.33  89
40.58  96
40.69  93
49.73  69
65.17  48
67.12  31

Structure:
Cell lengths 9.130, 9.130, 5.081 Å; angles 105.95, 105.95, 33.73 degrees
Fractional positions:
Pu (0.104, 0.104, 0.357)
Pu (0.896, 0.896, 0.643)
Mg (0.369, 0.369, 0.118)
Mg (0.631, 0.631, 0.882)
Au (0.198, 0.198, 0.949)
Au (0.292, 0.292, 0.542)
Au (0.468, 0.468, 0.719)
Au (0.532, 0.532, 0.281)
Au (0.708, 0.708, 0.458)
Au (0.802, 0.802, 0.051)